Structure and calculated XRD peak list of Sm2Te3 (a DFT-relaxed cell (PBE, the Materials Project); copper Kα).
Peak positions follow from Bragg's law for the DFT cell and can differ from measured ones.

Largest 10 diffraction maxima, by intensity, 5 to 70 degrees two-theta:
| 2theta | I/Imax |
| --- | --- |
| 29.87 | 100 |
| 35.51 | 71 |
| 60.33 | 23 |
| 49.11 | 18 |
| 47.07 | 16 |
| 42.75 | 15 |
| 63.77 | 15 |
| 44.95 | 11 |
| 62.04 | 8 |
| 23.03 | 7 |

Structure:
```
data_Sm2Te3
_chemical_formula_sum 'Sm32 Te48'
_cell_length_a 9.453
_cell_length_b 9.453
_cell_length_c 28.411
_cell_angle_alpha 90.00
_cell_angle_beta 90.00
_cell_angle_gamma 90.00
_symmetry_space_group_name_H-M 'I -4 2 d'
_symmetry_Int_Tables_number 122
_symmetry_space_group_name_Hall 'I -4 2bw'
loop_
_atom_site_label
_atom_site_fract_x
_atom_site_fract_y
_atom_site_fract_z
Sm1 0.000 0.000 0.168
Sm2 0.119 0.750 0.625
Sm3 0.130 0.744 0.959
Te1 0.073 0.674 0.183
Te2 0.073 0.678 0.852
Te3 0.081 0.674 0.516
```

---

Structure and calculated XRD peak list of BaLaI5 (a DFT-relaxed cell (PBE, the Materials Project); copper Kα).
Peak positions follow from Bragg's law for the DFT cell and can differ from measured ones.

Largest 10 diffraction maxima, by intensity, 5 to 70 degrees two-theta:
| 2theta | I/Imax |
| --- | --- |
| 25.61 | 100 |
| 24.46 | 65 |
| 30.24 | 59 |
| 28.91 | 55 |
| 33.87 | 55 |
| 26.05 | 52 |
| 24.29 | 50 |
| 31.54 | 49 |
| 26.85 | 48 |
| 27.27 | 39 |

Structure:
```
data_BaLaI5
_chemical_formula_sum 'Ba4 La4 I20'
_cell_length_a 8.207
_cell_length_b 14.558
_cell_length_c 11.229
_cell_angle_alpha 90.00
_cell_angle_beta 95.39
_cell_angle_gamma 90.00
_symmetry_space_group_name_H-M 'P 1 21 1'
_symmetry_Int_Tables_number 4
_symmetry_space_group_name_Hall 'P 2yb'
loop_
_atom_site_label
_atom_site_fract_x
_atom_site_fract_y
_atom_site_fract_z
Ba1 0.050 0.000 0.185
Ba2 0.414 0.335 0.378
La1 0.031 0.072 0.618
La2 0.485 0.688 0.117
I1 0.050 0.215 0.406
I2 0.136 0.461 0.179
I3 0.140 0.248 0.784
I4 0.189 0.680 0.926
I5 0.220 0.474 0.578
I6 0.275 0.966 0.455
I7 0.331 0.182 0.127
I8 0.346 0.689 0.377
I9 0.350 0.995 0.794
I10 0.425 0.898 0.124
```

---

Structure and calculated XRD peak list of TmPt3 (a DFT-relaxed cell (PBE, the Materials Project); copper Kα).
Peak positions follow from Bragg's law for the DFT cell and can differ from measured ones.

Largest 3 diffraction maxima, by intensity, 5 to 70 degrees two-theta:
| 2theta | I/Imax |
| --- | --- |
| 38.08 | 100 |
| 44.26 | 49 |
| 64.38 | 33 |

Structure:
```
data_TmPt3
_chemical_formula_sum 'Tm1 Pt3'
_cell_length_a 4.093
_cell_length_b 4.093
_cell_length_c 4.093
_cell_angle_alpha 90.00
_cell_angle_beta 90.00
_cell_angle_gamma 90.00
_symmetry_space_group_name_H-M 'P m -3 m'
_symmetry_Int_Tables_number 221
_symmetry_space_group_name_Hall '-P 4 2 3'
loop_
_atom_site_label
_atom_site_fract_x
_atom_site_fract_y
_atom_site_fract_z
Tm1 0.000 0.000 0.000
Pt1 0.000 0.500 0.500
```

---

Structure and calculated XRD peak list of NaMo6Cl13 (a DFT-relaxed cell (PBE, the Materials Project); copper Kα).
Peak positions follow from Bragg's law for the DFT cell and can differ from measured ones.

Largest 10 diffraction maxima, by intensity, 5 to 70 degrees two-theta:
| 2theta | I/Imax |
| --- | --- |
| 11.05 | 100 |
| 11.21 | 95 |
| 13.45 | 54 |
| 13.88 | 45 |
| 13.05 | 41 |
| 12.85 | 41 |
| 14.52 | 35 |
| 44.87 | 16 |
| 39.42 | 11 |
| 44.18 | 11 |

Structure:
```
data_NaMo6Cl13
_chemical_formula_sum 'Na2 Mo12 Cl26'
_cell_length_a 9.180
_cell_length_b 9.280
_cell_length_c 14.262
_cell_angle_alpha 97.18
_cell_angle_beta 101.83
_cell_angle_gamma 114.56
_symmetry_space_group_name_H-M 'P -1'
_symmetry_Int_Tables_number 2
_symmetry_space_group_name_Hall '-P 1'
loop_
_atom_site_label
_atom_site_fract_x
_atom_site_fract_y
_atom_site_fract_z
Na1 0.003 0.245 0.272
Mo1 0.300 0.996 0.437
Mo2 0.315 0.382 0.042
Mo3 0.366 0.544 0.903
Mo4 0.395 0.774 0.475
Mo5 0.448 0.013 0.620
Mo6 0.456 0.311 0.912
Cl1 0.039 0.997 0.357
Cl2 0.070 0.224 0.095
Cl3 0.158 0.251 0.867
Cl4 0.162 0.793 0.530
Cl5 0.187 0.589 0.770
Cl6 0.240 0.611 0.031
Cl7 0.256 0.476 0.437
Cl8 0.261 0.771 0.303
Cl9 0.357 0.218 0.575
Cl10 0.386 0.044 0.789
Cl11 0.411 0.167 0.047
Cl12 0.460 0.198 0.351
Cl13 0.490 0.524 0.213
```

---

Structure and calculated XRD peak list of GdAsO4 (a DFT-relaxed cell (PBE, the Materials Project); copper Kα).
Peak positions follow from Bragg's law for the DFT cell and can differ from measured ones.

Largest 10 diffraction maxima, by intensity, 5 to 70 degrees two-theta:
| 2theta | I/Imax |
| --- | --- |
| 39.47 | 100 |
| 24.73 | 97 |
| 24.55 | 97 |
| 30.42 | 86 |
| 53.95 | 49 |
| 35.13 | 45 |
| 47.24 | 33 |
| 59.95 | 27 |
| 63.25 | 24 |
| 68.96 | 22 |

Structure:
```
data_GdAsO4
_chemical_formula_sum 'Gd2 As2 O8'
_cell_length_a 4.849
_cell_length_b 7.199
_cell_length_c 4.849
_cell_angle_alpha 90.00
_cell_angle_beta 96.81
_cell_angle_gamma 90.00
_symmetry_space_group_name_H-M 'P 1 21/m 1'
_symmetry_Int_Tables_number 11
_symmetry_space_group_name_Hall '-P 2yb'
loop_
_atom_site_label
_atom_site_fract_x
_atom_site_fract_y
_atom_site_fract_z
Gd1 0.118 0.250 0.136
As1 0.373 0.750 0.357
O1 0.201 0.566 0.186
O2 0.278 0.250 0.667
O3 0.343 0.750 0.705
```

---

Repeat the fifth record exactly.
Structure and calculated XRD peak list of GdAsO4 (a DFT-relaxed cell (PBE, the Materials Project); copper Kα).
Peak positions follow from Bragg's law for the DFT cell and can differ from measured ones.

Largest 10 diffraction maxima, by intensity, 5 to 70 degrees two-theta:
| 2theta | I/Imax |
| --- | --- |
| 39.47 | 100 |
| 24.73 | 97 |
| 24.55 | 97 |
| 30.42 | 86 |
| 53.95 | 49 |
| 35.13 | 45 |
| 47.24 | 33 |
| 59.95 | 27 |
| 63.25 | 24 |
| 68.96 | 22 |

Structure:
```
data_GdAsO4
_chemical_formula_sum 'Gd2 As2 O8'
_cell_length_a 4.849
_cell_length_b 7.199
_cell_length_c 4.849
_cell_angle_alpha 90.00
_cell_angle_beta 96.81
_cell_angle_gamma 90.00
_symmetry_space_group_name_H-M 'P 1 21/m 1'
_symmetry_Int_Tables_number 11
_symmetry_space_group_name_Hall '-P 2yb'
loop_
_atom_site_label
_atom_site_fract_x
_atom_site_fract_y
_atom_site_fract_z
Gd1 0.118 0.250 0.136
As1 0.373 0.750 0.357
O1 0.201 0.566 0.186
O2 0.278 0.250 0.667
O3 0.343 0.750 0.705
```